[1]
Starting from a DFT-relaxed cell (GGA-PBE, Alexandria), the PXRD pattern of CaB3HO6 was calculated for CuKα.
No peak broadening, texture or thermal motion is included.

Most intense lines, 2θ = 5–70°, by angle:
| d (Å) | 2theta | Rel. int. |
| --- | --- | --- |
| 3.752 | 23.7 | 77 |
| 3.717 | 23.9 | 64 |
| 3.509 | 25.4 | 58 |
| 2.698 | 33.2 | 100 |
| 2.220 | 40.6 | 55 |
| 2.069 | 43.7 | 61 |

Structural model:
Lattice parameters (Å, degrees): 13.6013 7.0177 4.4391 90.00 90.00 90.00
Fractional positions:
Ca1 0.0943 0.2038 0.0000
Ca2 0.4057 0.7038 0.5000
Ca3 0.5943 0.2962 0.0000
Ca4 0.9057 0.7962 0.5000
B1 0.0719 0.7133 0.0283
B2 0.1445 0.8435 0.5482
B3 0.2305 0.5934 0.8334
B4 0.2695 0.0934 0.3334
B5 0.3555 0.3435 0.0482
B6 0.4281 0.2133 0.5283
B7 0.5719 0.7867 0.0283
B8 0.6445 0.6565 0.5482
B9 0.7305 0.9066 0.8334
B10 0.7695 0.4066 0.3334
B11 0.8555 0.1565 0.0482
B12 0.9281 0.2867 0.5283
H1 0.0460 0.4818 0.4672
H2 0.4540 0.9818 0.9672
H3 0.5460 0.0182 0.4672
H4 0.9540 0.5182 0.9672
O1 0.0317 0.3446 0.4532
O2 0.0705 0.7549 0.3517
O3 0.0968 0.8799 0.8420
O4 0.1425 0.5497 0.9708
O5 0.1783 0.0254 0.4145
O6 0.2327 0.7205 0.5959
O7 0.2673 0.2205 0.0959
O8 0.3217 0.5254 0.9145
O9 0.3575 0.0497 0.4708
O10 0.4032 0.3799 0.3420
O11 0.4295 0.2549 0.8517
O12 0.4683 0.8446 0.9532
O13 0.5317 0.1554 0.4532
O14 0.5705 0.7451 0.3517
O15 0.5968 0.6201 0.8420
O16 0.6425 0.9503 0.9708
O17 0.6783 0.4746 0.4145
O18 0.7327 0.7795 0.5959
O19 0.7673 0.2795 0.0959
O20 0.8217 0.9746 0.9145
O21 0.8575 0.4503 0.4708
O22 0.9032 0.1201 0.3420
O23 0.9295 0.2451 0.8517
O24 0.9683 0.6554 0.9532



[2]
Starting from a DFT-relaxed cell (GGA-PBE, Alexandria), the PXRD pattern of LiCdBr2 was calculated for CuKα.
No peak broadening, texture or thermal motion is included.

Most intense lines, 2θ = 5–70°, by angle:
| d (Å) | 2theta | Rel. int. |
| --- | --- | --- |
| 6.174 | 14.3 | 79 |
| 3.087 | 28.9 | 100 |
| 3.036 | 29.4 | 98 |
| 2.944 | 30.4 | 90 |
| 2.165 | 41.7 | 72 |
| 1.744 | 52.5 | 73 |

Structural model:
Lattice parameters (Å, degrees): 5.8882 6.0726 6.1744 90.00 90.00 90.00
Fractional positions:
Li1 0.0000 0.0000 0.0000
Li2 0.5000 0.5000 0.0000
Cd1 0.0000 0.5000 0.4519
Cd2 0.5000 0.0000 0.4519
Br1 0.0000 0.0000 0.4275
Br2 0.0000 0.5000 0.9458
Br3 0.5000 0.0000 0.9458
Br4 0.5000 0.5000 0.4275



[3]
Starting from a DFT-relaxed cell (GGA-PBE, Alexandria), the PXRD pattern of Dy5TlPd4 was calculated for CuKα.
No peak broadening, texture or thermal motion is included.

Most intense lines, 2θ = 5–70°, by angle:
| d (Å) | 2theta | Rel. int. |
| --- | --- | --- |
| 2.789 | 32.1 | 4 |
| 2.524 | 35.6 | 100 |
| 1.791 | 51.0 | 4 |
| 1.782 | 51.3 | 13 |
| 1.460 | 63.7 | 8 |
| 1.456 | 63.9 | 23 |

Structural model:
Lattice parameters (Å, degrees): 3.5645 3.5645 17.9097 90.00 90.00 90.00
Fractional positions:
Dy1 0.0000 0.0000 0.0000
Dy2 0.0000 0.0000 0.1920
Dy3 0.0000 0.0000 0.3822
Dy4 0.0000 0.0000 0.6178
Dy5 0.0000 0.0000 0.8080
Tl1 0.5000 0.5000 0.5000
Pd1 0.5000 0.5000 0.0955
Pd2 0.5000 0.5000 0.2893
Pd3 0.5000 0.5000 0.7107
Pd4 0.5000 0.5000 0.9045



[4]
Starting from a DFT-relaxed cell (GGA-PBE, Alexandria), the PXRD pattern of Tb3Tm2Tl3 was calculated for CuKα.
No peak broadening, texture or thermal motion is included.

Most intense lines, 2θ = 5–70°, by angle:
| d (Å) | 2theta | Rel. int. |
| --- | --- | --- |
| 2.817 | 31.8 | 25 |
| 2.701 | 33.2 | 100 |
| 2.684 | 33.4 | 25 |
| 1.943 | 46.7 | 18 |
| 1.603 | 57.5 | 16 |
| 1.553 | 59.5 | 20 |

Structural model:
Lattice parameters (Å, degrees): 3.7570 5.3686 22.5356 90.00 90.00 90.00
Fractional positions:
Tb1 0.0000 0.0000 0.0000
Tb2 0.0000 0.5000 0.1266
Tb3 0.0000 0.5000 0.8734
Tb4 0.5000 0.0000 0.3734
Tb5 0.5000 0.0000 0.6266
Tb6 0.5000 0.5000 0.5000
Tm1 0.0000 0.0000 0.2357
Tm2 0.0000 0.0000 0.7643
Tm3 0.5000 0.5000 0.2643
Tm4 0.5000 0.5000 0.7357
Tl1 0.0000 0.0000 0.5000
Tl2 0.0000 0.5000 0.3786
Tl3 0.0000 0.5000 0.6214
Tl4 0.5000 0.0000 0.1214
Tl5 0.5000 0.0000 0.8786
Tl6 0.5000 0.5000 0.0000



[5]
Starting from a DFT-relaxed cell (GGA-PBE, Alexandria), the PXRD pattern of PuPaGe was calculated for CuKα.
No peak broadening, texture or thermal motion is included.

Most intense lines, 2θ = 5–70°, by angle:
| d (Å) | 2theta | Rel. int. |
| --- | --- | --- |
| 4.149 | 21.4 | 27 |
| 2.571 | 34.9 | 100 |
| 2.396 | 37.5 | 81 |
| 1.753 | 52.2 | 33 |
| 1.524 | 60.8 | 24 |
| 1.415 | 66.0 | 33 |

Structural model:
Lattice parameters (Å, degrees): 4.7911 4.7911 3.2766 90.00 90.00 120.00
Fractional positions:
Pu1 0.0000 0.0000 0.0000
Pa1 0.3333 0.6667 0.2942
Ge1 0.6667 0.3333 0.6983



[6]
Starting from a DFT-relaxed cell (GGA-PBE, Alexandria), the PXRD pattern of GaNi8Rh6 was calculated for CuKα.
No peak broadening, texture or thermal motion is included.

Most intense lines, 2θ = 5–70°, by angle:
| d (Å) | 2theta | Rel. int. |
| --- | --- | --- |
| 2.242 | 40.2 | 22 |
| 2.135 | 42.3 | 83 |
| 2.059 | 44.0 | 53 |
| 2.041 | 44.4 | 100 |
| 1.962 | 46.3 | 46 |
| 1.944 | 46.7 | 87 |

Structural model:
Lattice parameters (Å, degrees): 4.5317 6.8969 7.0512 106.17 101.84 108.88
Fractional positions:
Ga1 0.0000 0.0000 0.0000
Ni1 0.0404 0.5285 0.3347
Ni2 0.1574 0.8666 0.6701
Ni3 0.3495 0.2641 0.6643
Ni4 0.4023 0.8057 0.0010
Ni5 0.5977 0.1943 0.9990
Ni6 0.6505 0.7359 0.3357
Ni7 0.8426 0.1334 0.3299
Ni8 0.9596 0.4715 0.6653
Rh1 0.2027 0.4038 0.0006
Rh2 0.2406 0.9271 0.3348
Rh3 0.4513 0.3329 0.3346
Rh4 0.5487 0.6671 0.6654
Rh5 0.7594 0.0729 0.6652
Rh6 0.7973 0.5962 0.9994



[7]
Starting from a DFT-relaxed cell (GGA-PBE, Alexandria), the PXRD pattern of CsU2F9 was calculated for CuKα.
No peak broadening, texture or thermal motion is included.

Most intense lines, 2θ = 5–70°, by angle:
| d (Å) | 2theta | Rel. int. |
| --- | --- | --- |
| 6.882 | 12.9 | 100 |
| 4.172 | 21.3 | 42 |
| 3.863 | 23.0 | 95 |
| 3.507 | 25.4 | 71 |
| 3.245 | 27.5 | 67 |
| 2.160 | 41.8 | 48 |

Structural model:
Lattice parameters (Å, degrees): 8.5665 8.5665 8.7405 115.14 115.14 49.33
Fractional positions:
Cs1 0.1156 0.8844 0.5000
Cs2 0.8844 0.1156 0.0000
U1 0.1914 0.3782 0.9535
U2 0.3782 0.1914 0.4535
U3 0.6227 0.8099 0.0493
U4 0.8099 0.6227 0.5493
F1 0.0088 0.6581 0.8171
F2 0.0456 0.2614 0.3817
F3 0.0979 0.5563 0.5213
F4 0.2544 0.3473 0.2249
F5 0.2614 0.0456 0.8817
F6 0.3473 0.2544 0.7249
F7 0.3512 0.9635 0.1703
F8 0.3599 0.5140 0.0809
F9 0.4519 0.8701 0.4652
F10 0.5140 0.3599 0.5809
F11 0.5563 0.0979 0.0213
F12 0.6294 0.7356 0.7618
F13 0.6581 0.0088 0.3171
F14 0.7291 0.9466 0.6153
F15 0.7356 0.6294 0.2618
F16 0.8701 0.4519 0.9652
F17 0.9466 0.7291 0.1153
F18 0.9635 0.3512 0.6703



[8]
Starting from a DFT-relaxed cell (GGA-PBE, Alexandria), the PXRD pattern of LiPu2Br2N2 was calculated for CuKα.
No peak broadening, texture or thermal motion is included.

Most intense lines, 2θ = 5–70°, by angle:
| d (Å) | 2theta | Rel. int. |
| --- | --- | --- |
| 11.971 | 7.4 | 100 |
| 3.232 | 27.6 | 41 |
| 2.928 | 30.5 | 43 |
| 2.569 | 34.9 | 30 |
| 1.938 | 46.9 | 17 |
| 1.506 | 61.6 | 13 |

Structural model:
Lattice parameters (Å, degrees): 3.8762 3.8762 11.9713 90.00 90.00 120.00
Fractional positions:
Li1 0.0000 0.0000 0.0000
Pu1 0.3333 0.6667 0.6127
Pu2 0.6667 0.3333 0.3873
Br1 0.0000 0.0000 0.1939
Br2 0.0000 0.0000 0.8061
N1 0.3333 0.6667 0.4267
N2 0.6667 0.3333 0.5733



[9]
Starting from a DFT-relaxed cell (GGA-PBE, Alexandria), the PXRD pattern of TaBS2 was calculated for CuKα.
No peak broadening, texture or thermal motion is included.

Most intense lines, 2θ = 5–70°, by angle:
| d (Å) | 2theta | Rel. int. |
| --- | --- | --- |
| 6.275 | 14.1 | 94 |
| 3.033 | 29.5 | 49 |
| 2.731 | 32.8 | 100 |
| 2.181 | 41.4 | 43 |
| 2.156 | 41.9 | 25 |
| 1.722 | 53.2 | 23 |

Structural model:
Lattice parameters (Å, degrees): 4.0397 4.5911 6.2748 90.00 90.00 90.00
Fractional positions:
Ta1 0.0000 0.0000 0.0000
Ta2 0.5000 0.5000 0.0000
B1 0.0000 0.5000 0.5000
B2 0.5000 0.0000 0.5000
S1 0.2500 0.2500 0.6906
S2 0.2500 0.7500 0.3094
S3 0.7500 0.2500 0.3094
S4 0.7500 0.7500 0.6906



[10]
Starting from a DFT-relaxed cell (GGA-PBE, Alexandria), the PXRD pattern of Zr2InPd2 was calculated for CuKα.
No peak broadening, texture or thermal motion is included.

Most intense lines, 2θ = 5–70°, by angle:
| d (Å) | 2theta | Rel. int. |
| --- | --- | --- |
| 2.662 | 33.7 | 14 |
| 2.547 | 35.2 | 33 |
| 2.412 | 37.3 | 100 |
| 2.381 | 37.8 | 63 |
| 1.961 | 46.3 | 13 |
| 1.399 | 66.9 | 18 |

Structural model:
Lattice parameters (Å, degrees): 7.5306 7.5306 6.9143 90.00 90.00 90.00
Fractional positions:
Zr1 0.1532 0.1532 0.0000
Zr2 0.1878 0.1878 0.5000
Zr3 0.3122 0.6878 0.0000
Zr4 0.3468 0.6532 0.5000
Zr5 0.6532 0.3468 0.5000
Zr6 0.6878 0.3122 0.0000
Zr7 0.8122 0.8122 0.5000
Zr8 0.8468 0.8468 0.0000
In1 0.0000 0.5000 0.2500
In2 0.0000 0.5000 0.7500
In3 0.5000 0.0000 0.2500
In4 0.5000 0.0000 0.7500
Pd1 0.1291 0.8709 0.2839
Pd2 0.1291 0.8709 0.7161
Pd3 0.3709 0.3709 0.2161
Pd4 0.3709 0.3709 0.7839
Pd5 0.6291 0.6291 0.2161
Pd6 0.6291 0.6291 0.7839
Pd7 0.8709 0.1291 0.2839
Pd8 0.8709 0.1291 0.7161



[11]
Starting from a DFT-relaxed cell (GGA-PBE, Alexandria), the PXRD pattern of Lu2TiCuO6 was calculated for CuKα.
No peak broadening, texture or thermal motion is included.

Most intense lines, 2θ = 5–70°, by angle:
| d (Å) | 2theta | Rel. int. |
| --- | --- | --- |
| 5.654 | 15.7 | 40 |
| 3.063 | 29.2 | 50 |
| 2.827 | 31.6 | 28 |
| 2.693 | 33.3 | 100 |
| 2.078 | 43.6 | 32 |
| 1.769 | 51.7 | 37 |

Structural model:
Lattice parameters (Å, degrees): 3.5372 3.5372 11.3080 90.00 90.00 120.00
Fractional positions:
Lu1 0.0000 0.0000 0.2272
Lu2 0.0000 0.0000 0.7728
Ti1 0.6667 0.3333 0.5000
Cu1 0.3333 0.6667 0.0000
O1 0.0000 0.0000 0.0000
O2 0.0000 0.0000 0.5000
O3 0.3333 0.6667 0.1686
O4 0.3333 0.6667 0.8314
O5 0.6667 0.3333 0.3330
O6 0.6667 0.3333 0.6670



[12]
Starting from a DFT-relaxed cell (GGA-PBE, Alexandria), the PXRD pattern of Pm4Ho4Er was calculated for CuKα.
No peak broadening, texture or thermal motion is included.

Most intense lines, 2θ = 5–70°, by angle:
| d (Å) | 2theta | Rel. int. |
| --- | --- | --- |
| 2.922 | 30.6 | 100 |
| 2.530 | 35.5 | 51 |
| 1.789 | 51.0 | 36 |
| 1.526 | 60.7 | 32 |
| 1.524 | 60.8 | 11 |
| 1.461 | 63.7 | 12 |

Structural model:
Lattice parameters (Å, degrees): 8.0030 8.0030 5.0550 108.36 108.36 84.27
Fractional positions:
Pm1 0.1691 0.1691 0.6690
Pm2 0.1691 0.8309 0.0000
Pm3 0.8309 0.1691 0.0000
Pm4 0.8309 0.8309 0.3310
Ho1 0.1685 0.5000 0.3342
Ho2 0.5000 0.1685 0.3342
Ho3 0.5000 0.8315 0.6658
Ho4 0.8315 0.5000 0.6658
Er1 0.5000 0.5000 0.0000